# 1
Starting from a DFT-relaxed cell (GGA-PBE, the Materials Project), the powder diffractogram of Cu2S was simulated for Cu Kα (weighted mean of Kα1 and Kα2).
Intensities are scaled so that the largest is 100.

The 10 most intense peaks (10 to 90 degrees two-theta), in order of rising 2θ:
| 2θ/deg | I (rel.) |
| --- | --- |
| 15.7 | 43 |
| 17.9 | 100 |
| 25.0 | 28 |
| 31.8 | 19 |
| 34.2 | 14 |
| 36.2 | 33 |
| 39.6 | 21 |
| 39.7 | 16 |
| 48.8 | 25 |
| 49.0 | 24 |

Cell: 5.4333 5.4333 5.6279 Å, 90.48 90.48 66.15°
Fractional positions:
Cu1 0.0000 0.0000 0.0000
Cu2 0.0000 0.0000 0.5000
Cu3 0.0000 0.5000 0.0000
Cu4 0.5000 0.0000 0.0000
S1 0.1825 0.1825 0.7449
S2 0.8175 0.8175 0.2551

---

# 2
Starting from a DFT-relaxed cell (GGA-PBE, the Materials Project), the powder diffractogram of CuS2 was simulated for Cu Kα (weighted mean of Kα1 and Kα2).
Intensities are scaled so that the largest is 100.

The 10 most intense peaks (10 to 90 degrees two-theta), in order of rising 2θ:
| 2θ/deg | I (rel.) |
| --- | --- |
| 25.3 | 100 |
| 25.8 | 34 |
| 31.6 | 29 |
| 32.2 | 29 |
| 40.9 | 25 |
| 41.4 | 25 |
| 44.9 | 26 |
| 52.8 | 34 |
| 53.0 | 20 |
| 53.6 | 39 |

Cell: 5.5632 5.6643 7.0313 Å, 90.00 90.00 90.00°
Fractional positions:
Cu1 0.0000 0.0000 0.0000
Cu2 0.0000 0.5000 0.5000
Cu3 0.5000 0.0000 0.5000
Cu4 0.5000 0.5000 0.0000
S1 0.1105 0.1124 0.4265
S2 0.1105 0.3876 0.9265
S3 0.3895 0.6124 0.4265
S4 0.3895 0.8876 0.9265
S5 0.6105 0.1124 0.0735
S6 0.6105 0.3876 0.5735
S7 0.8895 0.6124 0.0735
S8 0.8895 0.8876 0.5735

---

# 3
Starting from a DFT-relaxed cell (GGA-PBE, the Materials Project), the powder diffractogram of Cu2S was simulated for Cu Kα (weighted mean of Kα1 and Kα2).
Intensities are scaled so that the largest is 100.

The 9 most intense peaks (10 to 90 degrees two-theta), in order of rising 2θ:
| 2θ/deg | I (rel.) |
| --- | --- |
| 27.8 | 11 |
| 32.2 | 54 |
| 46.2 | 100 |
| 54.8 | 4 |
| 57.5 | 13 |
| 67.5 | 15 |
| 74.5 | 2 |
| 76.8 | 15 |
| 85.7 | 30 |

Cell: 3.9265 3.9265 3.9265 Å, 60.00 60.00 60.00°
Fractional positions:
Cu1 0.2500 0.2500 0.2500
Cu2 0.7500 0.7500 0.7500
S1 0.0000 0.0000 0.0000

---

# 4
Starting from a DFT-relaxed cell (GGA-PBE, the Materials Project), the powder diffractogram of CuS2 was simulated for Cu Kα (weighted mean of Kα1 and Kα2).
Intensities are scaled so that the largest is 100.

The 10 most intense peaks (10 to 90 degrees two-theta), in order of rising 2θ:
| 2θ/deg | I (rel.) |
| --- | --- |
| 25.1 | 62 |
| 33.1 | 100 |
| 42.0 | 69 |
| 50.8 | 29 |
| 51.5 | 30 |
| 57.5 | 22 |
| 58.1 | 11 |
| 62.6 | 28 |
| 75.2 | 17 |
| 89.6 | 12 |

Cell: 3.5515 3.5515 4.1656 Å, 90.00 90.00 90.00°
Fractional positions:
Cu1 0.0000 0.0000 0.0000
S1 0.0000 0.5000 0.3396
S2 0.5000 0.0000 0.6604